1.
Structure and simulated powder diffractogram of Li2B2RuO6 (DFT lattice parameters and positions (PBE); copper Kα).
No peak broadening, texture or thermal motion is included.

Crystal structure
```
data_Li2B2RuO6
_chemical_formula_sum 'Li2 B2 Ru1 O6'
_cell_length_a 4.844
_cell_length_b 4.844
_cell_length_c 5.928
_cell_angle_alpha 90.00
_cell_angle_beta 90.00
_cell_angle_gamma 120.00
_space_group_name_H-M_alt 'P 1'
_space_group_IT_number 1
_space_group_name_Hall 'P 1'
loop_
_atom_site_label
_atom_site_fract_x
_atom_site_fract_y
_atom_site_fract_z
Li1 0.333 0.667 0.289
Li2 0.667 0.333 0.711
B1 0.333 0.667 0.807
B2 0.667 0.333 0.193
Ru1 0.000 0.000 0.000
O1 0.063 0.695 0.801
O2 0.305 0.368 0.801
O3 0.368 0.063 0.199
O4 0.632 0.937 0.801
O5 0.695 0.632 0.199
O6 0.937 0.305 0.199
```

Main lines, sorted by position (10 to 80 degrees two-theta):
d/Å  2θ (°)  Rel. int.
5.928  14.9  100.0
4.195  21.2  47.2
3.424  26.0  84.2
2.421  37.1  53.5
2.242  40.2  32.5
1.977  45.9  17.9
1.875  48.5  20.7
1.712  53.5  14.1
1.531  60.4  28.3
1.398  66.9  26.1

=====

2.
Structure and simulated powder diffractogram of LiBS2O8 (DFT lattice parameters and positions (PBE); copper Kα).
No peak broadening, texture or thermal motion is included.

Crystal structure
```
data_LiBS2O8
_chemical_formula_sum 'Li4 B4 S8 O32'
_cell_length_a 7.800
_cell_length_b 9.565
_cell_length_c 8.573
_cell_angle_alpha 90.00
_cell_angle_beta 92.41
_cell_angle_gamma 90.00
_space_group_name_H-M_alt 'P 1'
_space_group_IT_number 1
_space_group_name_Hall 'P 1'
loop_
_atom_site_label
_atom_site_fract_x
_atom_site_fract_y
_atom_site_fract_z
Li1 0.000 0.124 0.000
Li2 0.000 0.876 0.500
Li3 0.487 0.334 0.834
Li4 0.487 0.666 0.334
B1 0.497 0.145 0.362
B2 0.497 0.855 0.862
B3 0.983 0.395 0.483
B4 0.983 0.605 0.983
S1 0.337 0.375 0.478
S2 0.337 0.625 0.978
S3 0.409 0.061 0.061
S4 0.409 0.939 0.561
S5 0.847 0.160 0.345
S6 0.847 0.840 0.845
S7 0.886 0.389 0.788
S8 0.886 0.611 0.288
O1 0.000 0.293 0.871
O2 0.000 0.707 0.371
O3 0.155 0.423 0.425
O4 0.155 0.577 0.925
O5 0.229 0.038 0.027
O6 0.229 0.962 0.527
O7 0.341 0.324 0.637
O8 0.341 0.676 0.137
O9 0.359 0.252 0.363
O10 0.359 0.748 0.863
O11 0.448 0.044 0.238
O12 0.448 0.956 0.738
O13 0.452 0.487 0.444
O14 0.452 0.513 0.944
O15 0.481 0.189 0.004
O16 0.481 0.811 0.504
O17 0.514 0.067 0.509
O18 0.514 0.933 0.009
O19 0.661 0.217 0.337
O20 0.661 0.783 0.837
O21 0.717 0.339 0.743
O22 0.717 0.661 0.243
O23 0.852 0.017 0.395
O24 0.852 0.983 0.895
O25 0.860 0.476 0.382
O26 0.860 0.524 0.882
O27 0.923 0.195 0.200
O28 0.923 0.805 0.700
O29 0.935 0.246 0.480
O30 0.935 0.754 0.980
O31 0.979 0.447 0.645
O32 0.979 0.553 0.145
```

Main lines, sorted by position (10 to 80 degrees two-theta):
d/Å  2θ (°)  Rel. int.
6.381  13.9  59.0
6.042  14.7  56.2
4.283  20.7  34.3
4.176  21.3  100.0
3.897  22.8  97.3
3.822  23.3  40.8
3.712  24.0  36.2
3.688  24.1  33.1
3.650  24.4  42.9
2.450  36.7  17.3